1.
Diffraction record for Cs3Ag2Br3Cl2. The powder diffractogram is calculated, not measured: it uses a crystal structure in Alexandria, relaxed with GGA-PBE and Cu Kα, 1.54184 Å.
No peak broadening, texture or thermal motion is included.

Structure:
a = 5.2088 Å, b = 5.2088 Å, c = 28.5112 Å
α = 90.00°, β = 90.00°, γ = 90.00°
Space group I4/mmm (No. 139)
Inequivalent atoms, fractional coordinates:
1 Cs 0.0000 0.0000 0.0000 [2 per cell]
2 Cs 0.0000 0.0000 0.3604 [4 per cell]
3 Ag 0.0000 0.0000 0.2185 [4 per cell]
4 Br 0.0000 0.0000 0.1247 [4 per cell]
5 Br 0.0000 0.0000 0.5000 [2 per cell]
6 Cl 0.0000 0.5000 0.2500 [4 per cell]

Main lines, sorted by position (10° ≤ 2θ ≤ 90°):
(hkl), 2theta, I_rel
1 1 0, 24.2, 1000
0 0 8, 25.0, 311
1 0 7, 27.8, 227
1 0 9, 33.1, 225
2 0 0, 34.4, 557
1 1 8, 35.0, 315
2 0 8, 43.0, 274
1 1 14, 51.3, 221

***

2.
Diffraction record for BaNiMo. The powder diffractogram is calculated, not measured: it uses a crystal structure in Alexandria, relaxed with GGA-PBE and Cu Kα, 1.54184 Å.
No peak broadening, texture or thermal motion is included.

Structure:
a = 3.7267 Å, b = 3.7305 Å, c = 11.3136 Å
α = 87.46°, β = 87.31°, γ = 89.67°
Space group P1 (No. 1)
Inequivalent atoms, fractional coordinates:
1 Ba 0.0000 0.0000 0.0000 [1 per cell]
2 Ba 0.4939 0.5176 0.3461 [1 per cell]
3 Ni 0.4610 0.9299 0.5659 [1 per cell]
4 Ni 0.9616 0.4193 0.5656 [1 per cell]
5 Mo 0.4409 0.4111 0.7381 [1 per cell]
6 Mo 0.9399 0.9013 0.7117 [1 per cell]

Main lines, sorted by position (10° ≤ 2θ ≤ 90°):
(hkl), 2theta, I_rel
0 0 3, 23.6, 902
0 1 1, 24.8, 764
1 0 -1, 25.5, 733
1 0 2, 28.1, 744
0 1 -2, 29.3, 585
1 1 3, 40.5, 722
-1 1 3, 41.9, 1000
2 0 0, 48.9, 690

***

3.
Diffraction record for Ni4Pt3. The powder diffractogram is calculated, not measured: it uses a crystal structure in Alexandria, relaxed with GGA-PBE and Cu Kα, 1.54184 Å.
No peak broadening, texture or thermal motion is included.

Structure:
a = 2.6928 Å, b = 3.6405 Å, c = 18.7190 Å
α = 90.00°, β = 90.00°, γ = 90.00°
Space group Immm (No. 71)
Inequivalent atoms, fractional coordinates:
1 Ni 0.0000 0.0000 0.0731 [4 per cell]
2 Ni 0.0000 0.0000 0.2166 [4 per cell]
3 Pt 0.0000 0.0000 0.3538 [4 per cell]
4 Pt 0.0000 0.0000 0.5000 [2 per cell]

Main lines, sorted by position (10° ≤ 2θ ≤ 90°):
(hkl), 2theta, I_rel
0 1 1, 24.9, 424
1 1 0, 41.7, 1000
0 1 7, 41.9, 975
1 0 7, 47.9, 660
0 2 0, 50.1, 293
1 2 7, 71.9, 387
2 1 7, 84.9, 251
1 1 14, 85.3, 239

***

4.
Diffraction record for BiI2Br. The powder diffractogram is calculated, not measured: it uses a crystal structure in Alexandria, relaxed with GGA-PBE and Cu Kα, 1.54184 Å.
No peak broadening, texture or thermal motion is included.

Structure:
a = 4.4019 Å, b = 5.8768 Å, c = 8.2062 Å
α = 110.92°, β = 104.83°, γ = 90.19°
Space group P1 (No. 1)
Inequivalent atoms, fractional coordinates:
1 Bi 0.0000 0.0000 0.0000 [1 per cell]
2 I 0.3561 0.8756 0.7018 [1 per cell]
3 I 0.6421 0.1738 0.2981 [1 per cell]
4 Br 0.9943 0.5360 0.9999 [1 per cell]

Main lines, sorted by position (10° ≤ 2θ ≤ 90°):
(hkl), 2theta, I_rel
0 0 1, 12.0, 588
0 1 0, 16.2, 1000
1 0 1, 27.0, 561
1 0 -2, 27.4, 556
0 2 -1, 30.4, 428
1 -1 2, 35.1, 235
2 0 -1, 41.0, 372
0 2 2, 48.3, 231

***

5.
Diffraction record for CeTmSbP. The powder diffractogram is calculated, not measured: it uses a crystal structure in Alexandria, relaxed with GGA-PBE and Cu Kα, 1.54184 Å.
No peak broadening, texture or thermal motion is included.

Structure:
a = 4.1850 Å, b = 4.1850 Å, c = 20.9017 Å
α = 90.00°, β = 90.00°, γ = 120.00°
Space group R3m (No. 160, hexagonal axes)
Inequivalent atoms, fractional coordinates:
1 Ce 0.0000 0.0000 0.0000 [3 per cell]
2 Tm 0.0000 0.0000 0.4826 [3 per cell]
3 Sb 0.0000 0.0000 0.2387 [3 per cell]
4 P 0.0000 0.0000 0.7442 [3 per cell]

Main lines, sorted by position (10° ≤ 2θ ≤ 90°):
(hkl), 2theta, I_rel
0 1 2, 26.0, 161
1 0 4, 30.0, 1000
0 1 5, 32.7, 117
0 1 8, 42.7, 344
1 1 0, 43.2, 378
0 2 4, 53.5, 195
1 1 12, 70.3, 130
2 1 4, 71.2, 166

***

6.
Diffraction record for Tb16Pr7Tm6. The powder diffractogram is calculated, not measured: it uses a crystal structure in Alexandria, relaxed with GGA-PBE and Cu Kα, 1.54184 Å.
No peak broadening, texture or thermal motion is included.

Structure:
a = 15.9040 Å, b = 15.9040 Å, c = 15.9040 Å
α = 90.00°, β = 90.00°, γ = 90.00°
Space group Fm-3m (No. 225)
Inequivalent atoms, fractional coordinates:
1 Tb 0.1278 0.1278 0.1278 [32 per cell]
2 Tb 0.1500 0.1500 0.3500 [32 per cell]
3 Pr 0.0000 0.0000 0.0000 [4 per cell]
4 Pr 0.0000 0.2500 0.2500 [24 per cell]
5 Tm 0.0000 0.0000 0.2587 [24 per cell]

Main lines, sorted by position (10° ≤ 2θ ≤ 90°):
(hkl), 2theta, I_rel
4 2 0, 25.0, 66
4 2 2, 27.5, 60
3 3 3, 29.2, 60
4 4 0, 31.8, 1000
8 0 0, 45.6, 146
8 4 4, 56.7, 281
8 8 0, 66.5, 79
12 4 0, 75.6, 81

***

7.
Diffraction record for Pr12Tm5Sc. The powder diffractogram is calculated, not measured: it uses a crystal structure in Alexandria, relaxed with GGA-PBE and Cu Kα, 1.54184 Å.
No peak broadening, texture or thermal motion is included.

Structure:
a = 15.2778 Å, b = 15.4772 Å, c = 5.1617 Å
α = 90.00°, β = 90.00°, γ = 90.00°
Space group Cmmm (No. 65)
Inequivalent atoms, fractional coordinates:
1 Pr 0.1609 0.0000 0.0000 [4 per cell]
2 Pr 0.1625 0.1656 0.5000 [8 per cell]
3 Pr 0.1645 0.3332 0.0000 [8 per cell]
4 Pr 0.1651 0.5000 0.5000 [4 per cell]
5 Tm 0.0000 0.1658 0.0000 [4 per cell]
6 Tm 0.0000 0.3340 0.5000 [4 per cell]
7 Tm 0.0000 0.5000 0.0000 [2 per cell]
8 Sc 0.0000 0.0000 0.5000 [2 per cell]

Main lines, sorted by position (10° ≤ 2θ ≤ 90°):
(hkl), 2theta, I_rel
3 3 1, 30.1, 1000
0 6 0, 34.8, 343
6 0 0, 35.2, 163
0 6 2, 50.0, 123
6 6 0, 50.3, 238
3 9 1, 59.5, 290
9 3 1, 60.1, 138
6 6 2, 62.6, 123

***

8.
Diffraction record for Pr2Y7Th2. The powder diffractogram is calculated, not measured: it uses a crystal structure in Alexandria, relaxed with GGA-PBE and Cu Kα, 1.54184 Å.
No peak broadening, texture or thermal motion is included.

Structure:
a = 11.4370 Å, b = 11.6601 Å, c = 6.0679 Å
α = 90.00°, β = 113.43°, γ = 90.00°
Space group C2/m (No. 12)
Inequivalent atoms, fractional coordinates:
1 Pr 0.2322 0.0000 0.0930 [4 per cell]
2 Y 0.0000 0.0000 0.5000 [2 per cell]
3 Y 0.0908 0.5000 0.3017 [4 per cell]
4 Y 0.1723 0.2349 0.6663 [8 per cell]
5 Th 0.0000 0.2142 0.0000 [4 per cell]

Main lines, sorted by position (10° ≤ 2θ ≤ 90°):
(hkl), 2theta, I_rel
0 0 1, 15.9, 178
2 2 -1, 23.7, 193
0 4 0, 30.7, 728
4 0 -1, 31.4, 323
2 2 1, 31.7, 1000
3 3 -1, 33.5, 358
2 2 -2, 33.6, 392
1 5 -2, 49.5, 183